# 1
Cu5Ag: computed XRD peak list (Cu Kα (weighted mean of Kα1 and Kα2)), based on DFT lattice parameters and positions (GGA-PBE).

Top 10 peaks for 2θ from 15° to 90°, in order of rising 2θ:
| Position (°2θ) | I_rel | (hkl) |
| --- | --- | --- |
| 41.89 | 100 | 1 1 1 |
| 42.00 | 50 | 2 0 -1 |
| 42.41 | 48 | 0 0 3 |
| 48.68 | 63 | 1 1 -2 |
| 49.48 | 29 | 2 0 2 |
| 71.65 | 19 | 3 1 0 |
| 72.23 | 17 | 1 1 4 |
| 85.91 | 11 | 2 2 -1 |
| 86.19 | 11 | 0 2 3 |
| 86.42 | 11 | 3 1 -3 |

Crystal structure
```
data_Cu5Ag
_chemical_formula_sum 'Cu5 Ag1'
_symmetry_space_group_name_H-M 'P 1 2/m 1'
_symmetry_Int_Tables_number 10
_cell_length_a 4.548
_cell_length_b 2.660
_cell_length_c 6.394
_cell_angle_alpha 90.00
_cell_angle_beta 90.72
_cell_angle_gamma 90.00
loop_
_symmetry_equiv_pos_as_xyz
'x,y,z'
'-x,-y,-z'
'-x,y,-z'
'x,-y,z'
loop_
_atom_site_label
_atom_site_fract_x
_atom_site_fract_y
_atom_site_fract_z
Cu1 0.000 0.000 0.000
Cu2 0.159 0.500 0.335
Cu3 0.327 0.000 0.652
Ag1 0.500 0.500 0.000
```



# 2
Cu4Ag5: computed XRD peak list (Cu Kα (weighted mean of Kα1 and Kα2)), based on DFT lattice parameters and positions (GGA-PBE).

Top 10 peaks for 2θ from 15° to 90°, in order of rising 2θ:
| Position (°2θ) | I_rel | (hkl) |
| --- | --- | --- |
| 35.58 | 24 | 1 1 -2 |
| 38.42 | 15 | 4 0 -2 |
| 39.55 | 56 | 2 0 3 |
| 39.71 | 43 | 4 0 -3 |
| 39.88 | 100 | 1 1 -3 |
| 40.61 | 24 | 2 0 -5 |
| 44.81 | 86 | 3 1 0 |
| 65.59 | 13 | 0 2 0 |
| 78.83 | 14 | 5 1 3 |
| 79.37 | 15 | 2 2 3 |

Crystal structure
```
data_Cu4Ag5
_chemical_formula_sum 'Cu8 Ag10'
_symmetry_space_group_name_H-M 'C 1 2/m 1'
_symmetry_Int_Tables_number 12
_cell_length_a 9.377
_cell_length_b 2.847
_cell_length_c 11.154
_cell_angle_alpha 90.00
_cell_angle_beta 113.12
_cell_angle_gamma 90.00
loop_
_symmetry_equiv_pos_as_xyz
'x,y,z'
'-x,-y,-z'
'-x,y,-z'
'x,-y,z'
'x+1/2,y+1/2,z'
'-x+1/2,-y+1/2,-z'
'-x+1/2,y+1/2,-z'
'x+1/2,-y+1/2,z'
loop_
_atom_site_label
_atom_site_fract_x
_atom_site_fract_y
_atom_site_fract_z
Cu1 0.019 0.000 0.144
Cu2 0.160 0.500 0.034
Ag1 0.000 0.000 0.500
Ag2 0.158 0.500 0.756
Ag3 0.171 0.500 0.373
```



# 3
Cu3Ag2: computed XRD peak list (Cu Kα (weighted mean of Kα1 and Kα2)), based on DFT lattice parameters and positions (GGA-PBE).

Top 10 peaks for 2θ from 15° to 90°, in order of rising 2θ:
| Position (°2θ) | I_rel | (hkl) |
| --- | --- | --- |
| 33.80 | 9 | 0 0 7 |
| 35.55 | 8 | 1 0 3 |
| 37.86 | 7 | 1 0 4 |
| 40.67 | 100 | 1 0 5 |
| 46.43 | 40 | 1 1 0 |
| 49.05 | 8 | 0 0 10 |
| 67.75 | 12 | 2 0 0 |
| 69.83 | 11 | 1 1 10 |
| 82.12 | 23 | 2 1 5 |
| 88.05 | 6 | 2 0 10 |

Crystal structure
```
data_Cu3Ag2
_chemical_formula_sum 'Cu6 Ag4'
_symmetry_space_group_name_H-M 'P 4/n m m'
_symmetry_Int_Tables_number 129
_cell_length_a 2.766
_cell_length_b 2.766
_cell_length_c 18.574
_cell_angle_alpha 90.00
_cell_angle_beta 90.00
_cell_angle_gamma 90.00
loop_
_symmetry_equiv_pos_as_xyz
'x,y,z'
'-x,-y,-z'
'-y+1/2,x,z'
'y+1/2,-x,-z'
'-x+1/2,-y+1/2,z'
'x+1/2,y+1/2,-z'
'y,-x+1/2,z'
'-y,x+1/2,-z'
'x+1/2,-y,-z'
'-x+1/2,y,z'
'-y,-x,-z'
'y,x,z'
'-x,y+1/2,-z'
'x,-y+1/2,z'
'y+1/2,x+1/2,-z'
'-y+1/2,-x+1/2,z'
loop_
_atom_site_label
_atom_site_fract_x
_atom_site_fract_y
_atom_site_fract_z
Cu1 0.250 0.250 0.043
Cu2 0.250 0.250 0.457
Cu3 0.250 0.250 0.628
Ag1 0.250 0.250 0.267
Ag2 0.250 0.250 0.854
```



# 4
Cu3Ag7: computed XRD peak list (Cu Kα (weighted mean of Kα1 and Kα2)), based on DFT lattice parameters and positions (GGA-PBE).

Top 10 peaks for 2θ from 15° to 90°, in order of rising 2θ:
| Position (°2θ) | I_rel | (hkl) |
| --- | --- | --- |
| 38.68 | 100 | 2 0 0 |
| 38.82 | 99 | 1 5 -1 |
| 44.94 | 32 | 2 0 -2 |
| 45.10 | 63 | 1 5 1 |
| 65.50 | 29 | 2 0 2 |
| 65.60 | 19 | 1 5 -3 |
| 78.76 | 28 | 2 0 -4 |
| 78.85 | 11 | 1 5 3 |
| 79.08 | 22 | 2 10 0 |
| 83.30 | 10 | 2 10 -2 |

Crystal structure
```
data_Cu3Ag7
_chemical_formula_sum 'Cu6 Ag14'
_symmetry_space_group_name_H-M 'C 1 2/m 1'
_symmetry_Int_Tables_number 12
_cell_length_a 4.944
_cell_length_b 14.180
_cell_length_c 4.936
_cell_angle_alpha 90.00
_cell_angle_beta 109.51
_cell_angle_gamma 90.00
loop_
_symmetry_equiv_pos_as_xyz
'x,y,z'
'-x,-y,-z'
'-x,y,-z'
'x,-y,z'
'x+1/2,y+1/2,z'
'-x+1/2,-y+1/2,-z'
'-x+1/2,y+1/2,-z'
'x+1/2,-y+1/2,z'
loop_
_atom_site_label
_atom_site_fract_x
_atom_site_fract_y
_atom_site_fract_z
Cu1 0.000 0.000 0.000
Cu2 0.000 0.297 0.500
Ag1 0.000 0.104 0.500
Ag2 0.000 0.200 0.000
Ag3 0.000 0.400 0.000
Ag4 0.000 0.500 0.500
```



# 5
Cu3Ag7: computed XRD peak list (Cu Kα (weighted mean of Kα1 and Kα2)), based on DFT lattice parameters and positions (GGA-PBE).

Top 10 peaks for 2θ from 15° to 90°, in order of rising 2θ:
| Position (°2θ) | I_rel | (hkl) |
| --- | --- | --- |
| 34.57 | 3 | 2 0 -3 |
| 38.86 | 100 | 1 1 -2 |
| 44.50 | 34 | 5 1 0 |
| 46.50 | 13 | 2 0 -4 |
| 64.75 | 10 | 0 2 0 |
| 66.31 | 9 | 3 1 4 |
| 66.33 | 8 | 7 1 -4 |
| 78.15 | 23 | 4 2 2 |
| 81.06 | 8 | 2 0 6 |
| 83.40 | 9 | 2 2 -4 |

Crystal structure
```
data_Cu3Ag7
_chemical_formula_sum 'Cu6 Ag14'
_symmetry_space_group_name_H-M 'C 1 m 1'
_symmetry_Int_Tables_number 8
_cell_length_a 14.920
_cell_length_b 2.878
_cell_length_c 7.812
_cell_angle_alpha 90.00
_cell_angle_beta 105.15
_cell_angle_gamma 90.00
loop_
_symmetry_equiv_pos_as_xyz
'x,y,z'
'x,-y,z'
'x+1/2,y+1/2,z'
'x+1/2,-y+1/2,z'
loop_
_atom_site_label
_atom_site_fract_x
_atom_site_fract_y
_atom_site_fract_z
Cu1 0.000 0.000 0.000
Cu2 0.091 0.500 0.828
Cu3 0.406 0.000 0.734
Ag1 0.096 0.500 0.306
Ag2 0.192 0.000 0.629
Ag3 0.197 0.000 0.104
Ag4 0.300 0.500 0.434
Ag5 0.307 0.500 0.910
Ag6 0.403 0.000 0.215
Ag7 0.497 0.500 0.538
```



# 6
Cu5Ag3: computed XRD peak list (Cu Kα (weighted mean of Kα1 and Kα2)), based on DFT lattice parameters and positions (GGA-PBE).

Top 10 peaks for 2θ from 15° to 90°, in order of rising 2θ:
| Position (°2θ) | I_rel | (hkl) |
| --- | --- | --- |
| 25.96 | 13 | 1 1 1 |
| 40.63 | 100 | 0 2 2 |
| 40.75 | 100 | 2 2 0 |
| 47.20 | 32 | 0 4 0 |
| 47.42 | 63 | 2 0 2 |
| 69.14 | 47 | 2 4 2 |
| 83.27 | 22 | 2 6 0 |
| 83.48 | 22 | 2 2 4 |
| 83.72 | 22 | 4 2 2 |
| 88.28 | 10 | 4 4 0 |

Crystal structure
```
data_Cu5Ag3
_chemical_formula_sum 'Cu10 Ag6'
_symmetry_space_group_name_H-M 'C 2 2 2'
_symmetry_Int_Tables_number 21
_cell_length_a 5.412
_cell_length_b 7.703
_cell_length_c 5.435
_cell_angle_alpha 90.00
_cell_angle_beta 90.00
_cell_angle_gamma 90.00
loop_
_symmetry_equiv_pos_as_xyz
'x,y,z'
'-x,-y,z'
'x,-y,-z'
'-x,y,-z'
'x+1/2,y+1/2,z'
'-x+1/2,-y+1/2,z'
'x+1/2,-y+1/2,-z'
'-x+1/2,y+1/2,-z'
loop_
_atom_site_label
_atom_site_fract_x
_atom_site_fract_y
_atom_site_fract_z
Cu1 0.000 0.000 0.000
Cu2 0.000 0.000 0.500
Cu3 0.000 0.500 0.000
Cu4 0.250 0.250 0.754
Ag1 0.000 0.500 0.500
Ag2 0.250 0.250 0.239
```



# 7
Cu5Ag3: computed XRD peak list (Cu Kα (weighted mean of Kα1 and Kα2)), based on DFT lattice parameters and positions (GGA-PBE).

Top 10 peaks for 2θ from 15° to 90°, in order of rising 2θ:
| Position (°2θ) | I_rel | (hkl) |
| --- | --- | --- |
| 35.97 | 8 | 0 0 21 |
| 40.36 | 100 | 0 1 8 |
| 41.33 | 23 | 0 0 24 |
| 44.23 | 8 | 1 0 13 |
| 47.24 | 56 | 1 0 16 |
| 68.36 | 20 | 1 1 0 |
| 69.70 | 10 | 0 1 32 |
| 82.48 | 11 | 2 0 8 |
| 83.12 | 16 | 1 1 24 |
| 87.26 | 9 | 0 2 16 |

Crystal structure
```
data_Cu5Ag3
_chemical_formula_sum 'Cu15 Ag9'
_symmetry_space_group_name_H-M 'R 3 m'
_symmetry_Int_Tables_number 160
_symmetry_space_group_name_Hall 'R 3 -2"'
_cell_length_a 2.7446
_cell_length_b 2.7446
_cell_length_c 52.4332
_cell_angle_alpha 90.00
_cell_angle_beta 90.00
_cell_angle_gamma 120.00
loop_
_atom_site_label
_atom_site_fract_x
_atom_site_fract_y
_atom_site_fract_z
Cu1 0.0000 0.0000 0.0000
Cu2 0.0000 0.0000 0.1137
Cu3 0.0000 0.0000 0.2473
Cu4 0.0000 0.0000 0.3712
Cu5 0.0000 0.0000 0.7425
Ag1 0.0000 0.0000 0.4899
Ag2 0.0000 0.0000 0.6236
Ag3 0.0000 0.0000 0.8713
```



# 8
Cu3Ag7: computed XRD peak list (Cu Kα (weighted mean of Kα1 and Kα2)), based on DFT lattice parameters and positions (GGA-PBE).

Top 10 peaks for 2θ from 15° to 90°, in order of rising 2θ:
| Position (°2θ) | I_rel | (hkl) |
| --- | --- | --- |
| 38.85 | 35 | 2 0 4 |
| 39.02 | 100 | 1 1 -3 |
| 44.48 | 47 | 3 1 1 |
| 46.95 | 17 | 2 0 -6 |
| 64.89 | 7 | 0 2 0 |
| 66.57 | 11 | 1 1 7 |
| 66.76 | 10 | 5 1 -5 |
| 78.00 | 8 | 5 1 5 |
| 78.17 | 8 | 7 1 -1 |
| 78.32 | 16 | 2 2 4 |

Crystal structure
```
data_Cu3Ag7
_chemical_formula_sum 'Cu6 Ag14'
_symmetry_space_group_name_H-M 'C 1 m 1'
_symmetry_Int_Tables_number 8
_cell_length_a 9.475
_cell_length_b 2.874
_cell_length_c 11.975
_cell_angle_alpha 90.00
_cell_angle_beta 99.96
_cell_angle_gamma 90.00
loop_
_symmetry_equiv_pos_as_xyz
'x,y,z'
'x,-y,z'
'x+1/2,y+1/2,z'
'x+1/2,-y+1/2,z'
loop_
_atom_site_label
_atom_site_fract_x
_atom_site_fract_y
_atom_site_fract_z
Cu1 0.000 0.000 0.000
Cu2 0.018 0.500 0.494
Cu3 0.333 0.000 0.097
Ag1 0.117 0.000 0.694
Ag2 0.126 0.500 0.178
Ag3 0.206 0.500 0.916
Ag4 0.212 0.000 0.394
Ag5 0.325 0.500 0.593
Ag6 0.413 0.000 0.807
Ag7 0.421 0.500 0.293
```